For ErFeB4, a crystal structure in OQMD, relaxed with GGA-PBE gives the calculated X-ray powder pattern in this record (Cu Kα (λ = 1.5418 Å)).

Principal peaks in the range 2θ from 15° to 90°, low angle first:
two_theta	Rel. int.	index
21.82	26.1	1 2 0
26.61	64.8	0 0 1
28.11	31.1	1 3 0
31.56	86.9	0 4 0
34.68	22.0	1 2 1
35.19	17.0	1 4 0
39.10	32.8	1 3 1
41.74	100.0	0 4 1
44.66	22.3	1 4 1
47.77	19.5	2 3 1
54.82	15.3	0 0 2
64.64	22.3	0 4 2

Structural model:
```
data_ErFeB4
_chemical_formula_sum 'Er4 Fe4 B16'
_symmetry_space_group_name_H-M 'P b a m'
_symmetry_Int_Tables_number 55
_cell_length_a 5.858
_cell_length_b 11.332
_cell_length_c 3.349
_cell_angle_alpha 90.00
_cell_angle_beta 90.00
_cell_angle_gamma 90.00
loop_
_symmetry_equiv_pos_as_xyz
'x,y,z'
'-x,-y,-z'
'-x,-y,z'
'x,y,-z'
'x+1/2,-y+1/2,-z'
'-x+1/2,y+1/2,z'
'-x+1/2,y+1/2,-z'
'x+1/2,-y+1/2,z'
loop_
_atom_site_label
_atom_site_fract_x
_atom_site_fract_y
_atom_site_fract_z
Er1 0.127 0.150 0.000
Fe1 0.133 0.411 0.000
B1 0.024 0.691 0.500
B2 0.112 0.546 0.500
B3 0.138 0.968 0.500
B4 0.216 0.816 0.500
```

For YErFe2Ge2B, a crystal structure in OQMD, relaxed with GGA-PBE gives the calculated X-ray powder pattern in this record (Cu Kα (λ = 1.5418 Å)).

Principal peaks in the range 2θ from 15° to 90°, low angle first:
two_theta	Rel. int.	index
24.37	20.6	1 1 0
33.55	79.7	1 1 1
34.07	27.5	4 0 -2
35.03	36.6	2 0 1
35.95	100.0	3 1 -2
39.49	48.2	3 1 0
40.93	29.5	2 0 -3
44.52	38.3	0 2 0
57.23	18.2	4 2 -2
57.89	21.1	2 2 1
62.08	20.4	2 2 -3
64.86	19.9	1 1 3

Structural model:
```
data_YErFe2Ge2B
_chemical_formula_sum 'Y2 Er2 Fe4 Ge4 B2'
_symmetry_space_group_name_H-M 'C 1 m 1'
_symmetry_Int_Tables_number 8
_cell_length_a 10.711
_cell_length_b 4.070
_cell_length_c 6.853
_cell_angle_alpha 90.00
_cell_angle_beta 129.48
_cell_angle_gamma 90.00
loop_
_symmetry_equiv_pos_as_xyz
'x,y,z'
'x,-y,z'
'x+1/2,y+1/2,z'
'x+1/2,-y+1/2,z'
loop_
_atom_site_label
_atom_site_fract_x
_atom_site_fract_y
_atom_site_fract_z
Y1 0.000 0.000 0.000
Er1 0.117 0.000 0.644
Fe1 0.265 0.500 0.137
Fe2 0.354 0.000 0.510
Ge1 0.225 0.500 0.438
Ge2 0.393 0.000 0.208
B1 0.061 0.500 0.822
```

For HoErFe6Ni2B2, a crystal structure in OQMD, relaxed with GGA-PBE gives the calculated X-ray powder pattern in this record (Cu Kα (λ = 1.5418 Å)).

Principal peaks in the range 2θ from 15° to 90°, low angle first:
two_theta	Rel. int.	index
20.55	18.7	1 0 0
32.75	91.2	1 0 2
35.99	34.6	1 1 0
38.24	17.6	0 0 3
41.80	66.1	2 0 0
44.46	100.0	1 1 2
62.66	28.2	2 1 2
64.68	21.9	1 1 4
68.64	17.6	2 0 4
70.61	24.0	3 0 2
76.33	18.9	2 2 0
85.55	15.7	3 1 2

Structural model:
```
data_HoErFe6Ni2B2
_chemical_formula_sum 'Ho1 Er1 Fe6 Ni2 B2'
_symmetry_space_group_name_H-M 'P 6/m m m'
_symmetry_Int_Tables_number 191
_symmetry_space_group_name_Hall '-P 6 2'
_cell_length_a 4.9902
_cell_length_b 4.9902
_cell_length_c 7.0633
_cell_angle_alpha 90.00
_cell_angle_beta 90.00
_cell_angle_gamma 120.00
loop_
_atom_site_label
_atom_site_fract_x
_atom_site_fract_y
_atom_site_fract_z
Ho1 0.0000 0.0000 0.0000
Er1 0.0000 0.0000 0.5000
Fe1 0.0000 0.5000 0.2865
Ni1 0.3333 0.6667 0.0000
B1 0.3333 0.6667 0.5000
```